Structure and theoretical powder diffraction line list of CrOsO4 (DFT lattice parameters and positions (GGA+U); Cu Kα X-rays).
Intensities are scaled so that the largest is 100.

Main lines, sorted by position (15 to 90 degrees two-theta):
| 2θ (°) | I/Imax |
| --- | --- |
| 19.90 | 61 |
| 27.48 | 100 |
| 34.16 | 32 |
| 35.16 | 81 |
| 39.26 | 23 |
| 53.71 | 65 |
| 56.73 | 16 |
| 64.16 | 15 |
| 67.48 | 15 |
| 68.52 | 19 |

Cell and atoms:
Lattice parameters (Å, degrees): 5.5225 5.5225 5.5225 108.01 108.01 112.43
Fractional positions:
Cr  0.0000  0.0000  0.0000
Cr  0.7500  0.2500  0.5000
Os  0.2569  0.7569  0.5000
Os  0.5069  0.5069  0.0000
O  0.2142  0.5137  0.7005
O  0.2637  0.0631  0.7995
O  0.2637  0.4642  0.2005
O  0.3086  0.0024  0.3062
O  0.6963  0.0024  0.6938
O  0.7524  0.5586  0.8062
O  0.7524  0.9463  0.1938
O  0.8131  0.5137  0.2995

---

Structure and theoretical powder diffraction line list of PmCr2OsO8 (DFT lattice parameters and positions (GGA+U); Cu Kα X-rays).
Intensities are scaled so that the largest is 100.

Main lines, sorted by position (15 to 90 degrees two-theta):
| 2θ (°) | I/Imax |
| --- | --- |
| 18.71 | 62 |
| 26.30 | 63 |
| 26.85 | 58 |
| 33.55 | 100 |
| 37.94 | 26 |
| 38.89 | 24 |
| 42.25 | 15 |
| 51.22 | 41 |
| 51.85 | 38 |
| 65.75 | 23 |

Cell and atoms:
Lattice parameters (Å, degrees): 4.7445 4.7445 6.4639 90.00 90.00 91.17
Fractional positions:
Pm  0.0000  0.0000  0.0000
Cr  0.5000  0.5000  0.2482
Cr  0.5000  0.5000  0.7518
Os  0.0000  0.0000  0.5000
O  0.2027  0.2027  0.2922
O  0.2027  0.2027  0.7078
O  0.2864  0.7136  0.5000
O  0.3282  0.6718  0.0000
O  0.6718  0.3282  0.0000
O  0.7136  0.2864  0.5000
O  0.7973  0.7973  0.2922
O  0.7973  0.7973  0.7078

---

Structure and theoretical powder diffraction line list of CrPO4 (DFT lattice parameters and positions (GGA+U); Cu Kα X-rays).
Intensities are scaled so that the largest is 100.

Main lines, sorted by position (15 to 90 degrees two-theta):
| 2θ (°) | I/Imax |
| --- | --- |
| 20.60 | 100 |
| 24.51 | 38 |
| 30.00 | 43 |
| 30.69 | 21 |
| 34.32 | 54 |
| 36.95 | 23 |
| 50.25 | 14 |
| 51.99 | 30 |
| 54.62 | 19 |
| 57.68 | 11 |

Cell and atoms:
Lattice parameters (Å, degrees): 7.4519 5.3628 6.4118 77.96 44.74 57.30
Fractional positions:
Cr  0.0000  0.0000  0.0000
Cr  0.2500  0.2500  0.2500
P  0.6870  0.6870  0.3130
P  0.9370  0.9370  0.5630
O  0.0240  0.0685  0.6539
O  0.0685  0.0240  0.2535
O  0.1077  0.5848  0.5066
O  0.4490  0.7434  0.6652
O  0.5848  0.1077  0.8010
O  0.5961  0.9965  0.2260
O  0.7434  0.4490  0.1423
O  0.9965  0.5961  0.1815

---

Structure and theoretical powder diffraction line list of CrP2O6 (DFT lattice parameters and positions (GGA+U); Cu Kα X-rays).
Intensities are scaled so that the largest is 100.

Main lines, sorted by position (15 to 90 degrees two-theta):
| 2θ (°) | I/Imax |
| --- | --- |
| 17.22 | 7 |
| 20.49 | 100 |
| 22.71 | 56 |
| 27.01 | 12 |
| 29.38 | 5 |
| 32.99 | 15 |
| 35.47 | 18 |
| 38.77 | 11 |
| 45.98 | 6 |
| 59.76 | 5 |

Cell and atoms:
Lattice parameters (Å, degrees): 8.1112 8.1112 4.6803 102.13 102.13 96.07
Fractional positions:
Cr  0.2167  0.7833  0.7500
Cr  0.7833  0.2167  0.2500
P  0.2024  0.3536  0.5340
P  0.3536  0.2024  0.0340
P  0.6464  0.7976  0.9660
P  0.7976  0.6464  0.4660
O  0.0387  0.2317  0.4049
O  0.2042  0.5376  0.5287
O  0.2317  0.0387  0.9049
O  0.2816  0.3483  0.8766
O  0.3483  0.2816  0.3766
O  0.4624  0.7958  0.9713
O  0.5376  0.2042  0.0287
O  0.6517  0.7184  0.6234
O  0.7184  0.6517  0.1234
O  0.7683  0.9613  0.0951
O  0.7958  0.4624  0.4713
O  0.9613  0.7683  0.5951

---

Structure and theoretical powder diffraction line list of CrP4O12 (DFT lattice parameters and positions (GGA+U); Cu Kα X-rays).
Intensities are scaled so that the largest is 100.

Main lines, sorted by position (15 to 90 degrees two-theta):
| 2θ (°) | I/Imax |
| --- | --- |
| 17.48 | 29 |
| 23.05 | 25 |
| 23.33 | 100 |
| 23.99 | 82 |
| 26.56 | 24 |
| 30.44 | 23 |
| 31.75 | 39 |
| 32.79 | 31 |
| 35.18 | 28 |
| 36.37 | 23 |

Cell and atoms:
Lattice parameters (Å, degrees): 5.1663 13.5583 7.5457 90.00 100.83 90.00
Fractional positions:
Cr  0.0027  0.0000  0.0063
Cr  0.9973  0.5000  0.9937
P  0.2835  0.5873  0.3658
P  0.3664  0.9476  0.3954
P  0.4743  0.3636  0.9290
P  0.4777  0.1374  0.9381
P  0.5223  0.6374  0.0619
P  0.5257  0.8636  0.0710
P  0.6336  0.4476  0.6046
P  0.7165  0.0873  0.6342
O  0.1257  0.6739  0.3989
O  0.1302  0.5055  0.2468
O  0.1454  0.9974  0.2597
O  0.2020  0.3786  0.9708
O  0.2080  0.1224  0.9829
O  0.2953  0.8952  0.5495
O  0.2966  0.5820  0.9484
O  0.3037  0.9215  0.9607
O  0.4243  0.5368  0.5484
O  0.4490  0.7509  0.0386
O  0.4643  0.3788  0.7180
O  0.4666  0.1158  0.7280
O  0.5334  0.6158  0.2720
O  0.5357  0.8788  0.2820
O  0.5510  0.2509  0.9614
O  0.5757  0.0368  0.4516
O  0.6963  0.4215  0.0393
O  0.7034  0.0820  0.0516
O  0.7047  0.3952  0.4505
O  0.7920  0.6224  0.0171
O  0.7980  0.8786  0.0292
O  0.8546  0.4974  0.7403
O  0.8698  0.0055  0.7532
O  0.8743  0.1739  0.6011

---

Structure and theoretical powder diffraction line list of CrPO4 (DFT lattice parameters and positions (GGA+U); Cu Kα X-rays).
Intensities are scaled so that the largest is 100.

Main lines, sorted by position (15 to 90 degrees two-theta):
| 2θ (°) | I/Imax |
| --- | --- |
| 15.38 | 52 |
| 16.17 | 100 |
| 16.75 | 55 |
| 28.89 | 27 |
| 32.01 | 67 |
| 32.68 | 62 |
| 33.87 | 32 |
| 40.77 | 24 |
| 43.89 | 20 |
| 52.78 | 24 |

Cell and atoms:
Lattice parameters (Å, degrees): 9.0364 9.0364 9.0364 108.28 86.42 138.49
Fractional positions:
Cr  0.0000  0.0000  0.0000
Cr  0.3832  0.0000  0.8832
Cr  0.3832  0.5000  0.3832
Cr  0.5000  0.0000  0.5000
Cr  0.6168  0.0000  0.1168
Cr  0.6168  0.5000  0.6168
P  0.1764  0.0000  0.6764
P  0.1764  0.5000  0.1764
P  0.3364  0.0864  0.2500
P  0.6636  0.9136  0.7500
P  0.8236  0.0000  0.3236
P  0.8236  0.5000  0.8236
O  0.0790  0.2188  0.4118
O  0.0790  0.6671  0.8602
O  0.1133  0.9620  0.1513
O  0.2244  0.0769  0.8693
O  0.2244  0.3551  0.1475
O  0.2924  0.6449  0.3693
O  0.2924  0.9231  0.6475
O  0.3070  0.2188  0.6398
O  0.3070  0.6671  0.0882
O  0.3106  0.9620  0.3487
O  0.4794  0.1068  0.1274
O  0.4794  0.3520  0.3726
O  0.5206  0.6480  0.6274
O  0.5206  0.8932  0.8726
O  0.6894  0.0380  0.6513
O  0.6930  0.3329  0.9118
O  0.6930  0.7812  0.3602
O  0.7076  0.0769  0.3525
O  0.7076  0.3551  0.6307
O  0.7756  0.6449  0.8525
O  0.7756  0.9231  0.1307
O  0.8867  0.0380  0.8487
O  0.9210  0.3329  0.1398
O  0.9210  0.7812  0.5882

---

Structure and theoretical powder diffraction line list of CrPO5 (DFT lattice parameters and positions (GGA+U); Cu Kα X-rays).
Intensities are scaled so that the largest is 100.

Main lines, sorted by position (15 to 90 degrees two-theta):
| 2θ (°) | I/Imax |
| --- | --- |
| 15.80 | 35 |
| 21.88 | 100 |
| 26.66 | 43 |
| 30.36 | 41 |
| 37.73 | 15 |
| 38.70 | 17 |
| 48.91 | 11 |
| 49.17 | 12 |
| 58.89 | 8 |
| 59.59 | 15 |

Cell and atoms:
Lattice parameters (Å, degrees): 5.8890 5.8890 5.6101 90.00 90.00 90.00
Fractional positions:
Cr  0.2500  0.2500  0.2458
Cr  0.7500  0.7500  0.7542
P  0.2500  0.7500  0.0000
P  0.7500  0.2500  0.0000
O  0.0513  0.8251  0.8383
O  0.1749  0.5513  0.1617
O  0.2500  0.2500  0.5266
O  0.3251  0.9487  0.1617
O  0.4487  0.6749  0.8383
O  0.5513  0.3251  0.1617
O  0.6749  0.0513  0.8383
O  0.7500  0.7500  0.4734
O  0.8251  0.4487  0.8383
O  0.9487  0.1749  0.1617